This entry pairs a crystal structure of Li3ScF6 with its theoretical powder XRD pattern. Radiation: CuKα. Structure: a cell relaxed with GGA-PBE.

Crystal structure
```
data_Li3ScF6
_cell_length_a 8.897
_cell_length_b 8.897
_cell_length_c 9.649
_cell_angle_alpha 90.00
_cell_angle_beta 90.00
_cell_angle_gamma 120.00
_space_group_name_H-M_alt 'P 1'
_space_group_IT_number 1
_space_group_name_Hall 'P 1'
loop_
_atom_site_label
_atom_site_type_symbol
_atom_site_fract_x
_atom_site_fract_y
_atom_site_fract_z
Li1 Li 0.000 0.301 0.250
Li2 Li 0.000 0.699 0.750
Li3 Li 0.020 0.361 0.963
Li4 Li 0.020 0.660 0.463
Li5 Li 0.301 0.000 0.250
Li6 Li 0.301 0.301 0.750
Li7 Li 0.340 0.361 0.463
Li8 Li 0.340 0.980 0.963
Li9 Li 0.361 0.020 0.537
Li10 Li 0.361 0.340 0.037
Li11 Li 0.639 0.660 0.963
Li12 Li 0.639 0.980 0.463
Li13 Li 0.660 0.020 0.037
Li14 Li 0.660 0.639 0.537
Li15 Li 0.699 0.000 0.750
Li16 Li 0.699 0.699 0.250
Li17 Li 0.980 0.340 0.537
Li18 Li 0.980 0.639 0.037
Sc1 Sc 0.000 0.000 0.000
Sc2 Sc 0.000 0.000 0.500
Sc3 Sc 0.333 0.667 0.236
Sc4 Sc 0.333 0.667 0.736
Sc5 Sc 0.667 0.333 0.264
Sc6 Sc 0.667 0.333 0.764
F1 F 0.109 0.227 0.107
F2 F 0.109 0.882 0.607
F3 F 0.112 0.541 0.118
F4 F 0.112 0.571 0.618
F5 F 0.118 0.227 0.607
F6 F 0.118 0.891 0.107
F7 F 0.216 0.447 0.355
F8 F 0.216 0.769 0.855
F9 F 0.227 0.109 0.393
F10 F 0.227 0.118 0.893
F11 F 0.231 0.447 0.855
F12 F 0.231 0.784 0.355
F13 F 0.429 0.541 0.618
F14 F 0.429 0.888 0.118
F15 F 0.447 0.216 0.145
F16 F 0.447 0.231 0.645
F17 F 0.459 0.571 0.118
F18 F 0.459 0.888 0.618
F19 F 0.541 0.112 0.382
F20 F 0.541 0.429 0.882
F21 F 0.553 0.769 0.355
F22 F 0.553 0.784 0.855
F23 F 0.571 0.112 0.882
F24 F 0.571 0.459 0.382
F25 F 0.769 0.216 0.645
F26 F 0.769 0.553 0.145
F27 F 0.773 0.882 0.107
F28 F 0.773 0.891 0.607
F29 F 0.784 0.231 0.145
F30 F 0.784 0.553 0.645
F31 F 0.882 0.109 0.893
F32 F 0.882 0.773 0.393
F33 F 0.888 0.429 0.382
F34 F 0.888 0.459 0.882
F35 F 0.891 0.118 0.393
F36 F 0.891 0.773 0.893
```

The 10 most intense peaks (2θ = 15–90°), in order of rising 2θ:
d_spacing	I (rel.)	(hkl)
4.448	46	1 1 0
4.089	65	0 1 2
3.010	30	2 0 2
2.493	13	1 2 2
2.267	100	3 0 2
2.121	12	1 1 4
1.954	12	3 1 2
1.758	47	0 3 4
1.483	31	3 3 0
1.408	11	1 2 6